V2CoP2O10: simulated X-ray powder pattern (Cu Kα, 1.54184 Å), based on the PBE+U geometry in Alexandria.
Intensities are scaled so that the largest is 100.

Crystal structure
```
data_V2CoP2O10
_chemical_formula_sum 'V4 Co2 P4 O20'
_cell_length_a 7.3705
_cell_length_b 7.4481
_cell_length_c 7.3723
_cell_angle_alpha 90.00
_cell_angle_beta 119.54
_cell_angle_gamma 90.00
_symmetry_space_group_name_H-M 'P 1'
_symmetry_Int_Tables_number 1
_symmetry_space_group_name_Hall 'P 1'
loop_
_atom_site_label
_atom_site_fract_x
_atom_site_fract_y
_atom_site_fract_z
V1 0.2396 0.2262 0.0341
V2 0.2396 0.2738 0.5341
V3 0.7604 0.7262 0.4659
V4 0.7604 0.7738 0.9659
Co1 0.5000 0.0000 0.5000
Co2 0.5000 0.5000 0.0000
P1 0.2481 0.6224 0.2511
P2 0.2481 0.8776 0.7511
P3 0.7519 0.1224 0.2489
P4 0.7519 0.3776 0.7489
O1 0.0584 0.7452 0.1363
O2 0.0584 0.7548 0.6363
O3 0.2312 0.5074 0.4139
O4 0.2312 0.9926 0.9139
O5 0.2681 0.1646 0.2716
O6 0.2681 0.3354 0.7716
O7 0.2788 0.0026 0.5971
O8 0.2788 0.4974 0.0971
O9 0.4422 0.7487 0.3551
O10 0.4422 0.7513 0.8551
O11 0.5578 0.2487 0.1449
O12 0.5578 0.2513 0.6449
O13 0.7212 0.5026 0.9029
O14 0.7212 0.9974 0.4029
O15 0.7319 0.6646 0.2284
O16 0.7319 0.8354 0.7284
O17 0.7688 0.0074 0.0861
O18 0.7688 0.4926 0.5861
O19 0.9416 0.2452 0.3637
O20 0.9416 0.2548 0.8637
```

Top 6 peaks for 10° ≤ 2θ ≤ 90°, most intense first:
| 2theta | I/Imax |
| --- | --- |
| 26.99 | 100.0 |
| 26.84 | 51.3 |
| 18.26 | 44.1 |
| 27.70 | 41.4 |
| 27.82 | 36.0 |
| 34.23 | 32.3 |